Starting from a structure optimized by DFT (GGA-PBE), the powder X-ray diffraction pattern of AcMo6Se8 was simulated for Cu Kα, 1.54184 Å.
Peak positions follow from Bragg's law for the DFT cell and can differ from measured ones.

```
AcMo6Se8
1.0
4.8139 2.7793 4.0882
-4.8139 2.7793 4.0882
0.0000 -5.5586 4.0882
Ac Mo Se
1 6 8
Direct
0.0000 0.0000 0.0000
0.2407 0.5626 0.4231
0.4231 0.2407 0.5626
0.4374 0.5769 0.7593
0.5626 0.4231 0.2407
0.5769 0.7593 0.4374
0.7593 0.4374 0.5769
0.1206 0.3812 0.7480
0.2464 0.2464 0.2464
0.2520 0.8794 0.6188
0.3812 0.7480 0.1206
0.6188 0.2520 0.8794
0.7480 0.1206 0.3812
0.7536 0.7536 0.7536
0.8794 0.6188 0.2520
```

Most intense lines, 2θ from 10° to 80°, sorted by position:
| Position (°2θ) | I/Imax |
| --- | --- |
| 17.96 | 53 |
| 18.43 | 47 |
| 28.65 | 49 |
| 29.26 | 52 |
| 32.21 | 57 |
| 38.25 | 41 |
| 39.66 | 67 |
| 41.07 | 58 |
| 43.64 | 100 |
| 56.72 | 42 |



Starting from a structure optimized by DFT (GGA-PBE), the powder X-ray diffraction pattern of Ac4N was simulated for Cu Kα, 1.54184 Å.
Peak positions follow from Bragg's law for the DFT cell and can differ from measured ones.

```
Ac4N
1.0
6.6620 -2.9377 0.0000
6.6620 2.9377 0.0000
-5.1374 0.0000 10.4968
Ac N
8 2
Direct
0.1017 0.1307 0.1889
0.1307 0.1017 0.6889
0.3741 0.3910 0.5718
0.3910 0.3741 0.0718
0.6090 0.6259 0.9282
0.6259 0.6090 0.4282
0.8693 0.8983 0.3111
0.8983 0.8693 0.8111
0.2562 0.7438 0.7500
0.7438 0.2562 0.2500
```

Most intense lines, 2θ from 10° to 80°, sorted by position:
| Position (°2θ) | I/Imax |
| --- | --- |
| 26.16 | 100 |
| 29.86 | 17 |
| 30.43 | 17 |
| 30.60 | 16 |
| 43.16 | 13 |
| 43.28 | 13 |
| 43.70 | 13 |
| 50.80 | 16 |
| 51.53 | 16 |
| 51.75 | 16 |



Starting from a structure optimized by DFT (GGA-PBE), the powder X-ray diffraction pattern of NaAcNbN3 was simulated for Cu Kα, 1.54184 Å.
Peak positions follow from Bragg's law for the DFT cell and can differ from measured ones.

```
NaAcNbN3
1.0
2.9039 -5.7596 0.0000
2.9039 5.7596 0.0000
-1.2656 0.0000 5.5175
Na Ac Nb N
2 2 2 6
Direct
0.0665 0.9335 0.7500
0.9335 0.0665 0.2500
0.2458 0.7542 0.2500
0.7542 0.2458 0.7500
0.4513 0.5487 0.7500
0.5487 0.4513 0.2500
0.2319 0.3491 0.0183
0.2757 0.7243 0.7500
0.3491 0.2319 0.5183
0.6509 0.7681 0.4817
0.7243 0.2757 0.2500
0.7681 0.6509 0.9817
```

Most intense lines, 2θ from 10° to 80°, sorted by position:
| Position (°2θ) | I/Imax |
| --- | --- |
| 15.38 | 39 |
| 21.26 | 93 |
| 26.12 | 44 |
| 30.65 | 98 |
| 31.05 | 41 |
| 31.61 | 62 |
| 32.45 | 57 |
| 34.29 | 100 |
| 40.22 | 44 |
| 44.90 | 29 |



Starting from a structure optimized by DFT (GGA-PBE), the powder X-ray diffraction pattern of NaAc2W2N6 was simulated for Cu Kα, 1.54184 Å.
Peak positions follow from Bragg's law for the DFT cell and can differ from measured ones.

```
NaAc2W2N6
1.0
6.7740 0.0000 0.0000
-2.4120 6.3425 0.0000
-2.8701 -2.6912 5.9500
Na Ac W N
1 2 2 6
Direct
0.0000 0.0000 0.0000
0.3855 0.3032 0.6879
0.6145 0.6968 0.3121
0.0716 0.6425 0.7132
0.9284 0.3575 0.2868
0.1467 0.9221 0.6930
0.2278 0.4496 0.3054
0.3141 0.5872 0.9008
0.6859 0.4128 0.0992
0.7722 0.5504 0.6946
0.8533 0.0779 0.3070
```

Most intense lines, 2θ from 10° to 80°, sorted by position:
| Position (°2θ) | I/Imax |
| --- | --- |
| 15.35 | 100 |
| 20.35 | 37 |
| 23.11 | 92 |
| 27.49 | 44 |
| 28.79 | 86 |
| 30.04 | 30 |
| 32.91 | 60 |
| 38.24 | 25 |
| 44.28 | 30 |
| 47.23 | 37 |



Starting from a structure optimized by DFT (GGA-PBE), the powder X-ray diffraction pattern of Ac4Nb3N10 was simulated for Cu Kα, 1.54184 Å.
Peak positions follow from Bragg's law for the DFT cell and can differ from measured ones.

```
Ac4Nb3N10
1.0
-2.0818 2.0818 14.9103
2.0818 -2.0818 14.9103
2.0818 2.0818 -14.9103
Ac Nb N
4 3 10
Direct
0.0702 0.0702 0.0000
0.2016 0.2016 0.0000
0.7984 0.7984 0.0000
0.9298 0.9298 0.0000
0.3578 0.3578 0.0000
0.5000 0.5000 0.0000
0.6422 0.6422 0.0000
0.0000 0.5000 0.5000
0.1381 0.6381 0.5000
0.2886 0.2886 0.0000
0.3619 0.8619 0.5000
0.4309 0.4309 0.0000
0.5000 0.0000 0.5000
0.5691 0.5691 0.0000
0.6381 0.1381 0.5000
0.7114 0.7114 0.0000
0.8619 0.3619 0.5000
```

Most intense lines, 2θ from 10° to 80°, sorted by position:
| Position (°2θ) | I/Imax |
| --- | --- |
| 21.55 | 15 |
| 30.01 | 100 |
| 30.36 | 57 |
| 38.98 | 18 |
| 42.44 | 10 |
| 43.47 | 28 |
| 53.07 | 15 |
| 53.72 | 41 |
| 62.37 | 12 |
| 71.68 | 10 |



Starting from a structure optimized by DFT (GGA-PBE), the powder X-ray diffraction pattern of Ac2NbN4 was simulated for Cu Kα, 1.54184 Å.
Peak positions follow from Bragg's law for the DFT cell and can differ from measured ones.

```
Ac2NbN4
1.0
6.3006 0.0000 0.0000
0.0000 6.3157 0.0000
-2.4906 0.0000 6.9127
Ac Nb N
4 2 8
Direct
0.1699 0.2500 0.0161
0.2700 0.2500 0.5548
0.7300 0.7500 0.4452
0.8301 0.7500 0.9839
0.2705 0.7500 0.8033
0.7295 0.2500 0.1967
0.0579 0.5114 0.7415
0.0579 0.9886 0.7415
0.4573 0.7500 0.0777
0.4881 0.7500 0.6667
0.5119 0.2500 0.3333
0.5427 0.2500 0.9223
0.9421 0.0114 0.2585
0.9421 0.4886 0.2585
```

Most intense lines, 2θ from 10° to 80°, sorted by position:
| Position (°2θ) | I/Imax |
| --- | --- |
| 20.55 | 100 |
| 22.83 | 32 |
| 28.26 | 71 |
| 28.81 | 79 |
| 30.15 | 30 |
| 31.86 | 26 |
| 35.51 | 36 |
| 37.10 | 49 |
| 38.62 | 25 |
| 41.79 | 37 |



Starting from a structure optimized by DFT (GGA-PBE), the powder X-ray diffraction pattern of Ac2Nb2N7 was simulated for Cu Kα, 1.54184 Å.
Peak positions follow from Bragg's law for the DFT cell and can differ from measured ones.

```
Ac2Nb2N7
1.0
3.6687 -4.4952 0.0000
3.6687 4.4952 0.0000
-0.0749 0.0000 5.1459
Ac Nb N
2 2 7
Direct
0.2357 0.7643 0.0000
0.7643 0.2357 0.0000
0.2197 0.2197 0.5121
0.7803 0.7803 0.4879
0.0144 0.5501 0.3841
0.0243 0.0243 0.2477
0.4499 0.9856 0.6159
0.5000 0.5000 0.5000
0.5501 0.0144 0.3841
0.9757 0.9757 0.7523
0.9856 0.4499 0.6159
```

Most intense lines, 2θ from 10° to 80°, sorted by position:
| Position (°2θ) | I/Imax |
| --- | --- |
| 19.75 | 17 |
| 26.33 | 100 |
| 29.70 | 41 |
| 30.12 | 43 |
| 31.48 | 48 |
| 34.87 | 26 |
| 40.12 | 22 |
| 47.40 | 26 |
| 47.97 | 23 |
| 50.98 | 18 |



Starting from a structure optimized by DFT (GGA-PBE), the powder X-ray diffraction pattern of AcNbNO2 was simulated for Cu Kα, 1.54184 Å.
Peak positions follow from Bragg's law for the DFT cell and can differ from measured ones.

```
AcNbNO2
1.0
-2.8901 2.8901 4.2182
2.8901 -2.8901 4.2182
2.8901 2.8901 -4.2182
Ac Nb N O
2 2 2 4
Direct
0.2500 0.7500 0.5000
0.7500 0.2500 0.5000
0.0000 0.0000 0.0000
0.5000 0.5000 0.0000
0.2500 0.2500 0.0000
0.7500 0.7500 0.0000
0.1982 0.6982 0.8963
0.3018 0.1982 0.5000
0.6982 0.8018 0.5000
0.8018 0.3018 0.1037
```

Most intense lines, 2θ from 10° to 80°, sorted by position:
| Position (°2θ) | I/Imax |
| --- | --- |
| 21.74 | 15 |
| 30.45 | 100 |
| 30.94 | 49 |
| 37.73 | 17 |
| 42.88 | 14 |
| 44.32 | 25 |
| 53.81 | 21 |
| 54.73 | 43 |
| 63.37 | 17 |
| 73.23 | 10 |



Starting from a structure optimized by DFT (GGA-PBE), the powder X-ray diffraction pattern of Ac3Nb2S2N5 was simulated for Cu Kα, 1.54184 Å.
Peak positions follow from Bragg's law for the DFT cell and can differ from measured ones.

```
Ac3Nb2S2N5
1.0
-2.0933 2.0933 11.9461
2.0933 -2.0933 11.9461
2.0933 2.0933 -11.9461
Ac Nb S N
3 2 2 5
Direct
0.0000 0.0000 0.0000
0.1669 0.1669 0.0000
0.8331 0.8331 0.0000
0.4169 0.4169 0.0000
0.5831 0.5831 0.0000
0.2989 0.2989 0.0000
0.7011 0.7011 0.0000
0.0914 0.5914 0.5000
0.4086 0.9086 0.5000
0.5000 0.5000 0.0000
0.5914 0.0914 0.5000
0.9086 0.4086 0.5000
```

Most intense lines, 2θ from 10° to 80°, sorted by position:
| Position (°2θ) | I/Imax |
| --- | --- |
| 21.55 | 32 |
| 22.33 | 26 |
| 28.34 | 84 |
| 30.19 | 100 |
| 33.89 | 80 |
| 37.87 | 43 |
| 43.22 | 47 |
| 52.49 | 32 |
| 55.63 | 29 |
| 56.02 | 38 |



Starting from a structure optimized by DFT (GGA-PBE), the powder X-ray diffraction pattern of Ac3Nb2Se2N5 was simulated for Cu Kα, 1.54184 Å.
Peak positions follow from Bragg's law for the DFT cell and can differ from measured ones.

```
Ac3Nb2Se2N5
1.0
-2.1072 2.1072 12.3016
2.1072 -2.1072 12.3016
2.1072 2.1072 -12.3016
Ac Nb Se N
3 2 2 5
Direct
0.0000 0.0000 0.0000
0.1606 0.1606 0.0000
0.8394 0.8394 0.0000
0.4196 0.4196 0.0000
0.5804 0.5804 0.0000
0.2985 0.2985 0.0000
0.7015 0.7015 0.0000
0.0881 0.5881 0.5000
0.4119 0.9119 0.5000
0.5000 0.5000 0.0000
0.5881 0.0881 0.5000
0.9119 0.4119 0.5000
```

Most intense lines, 2θ from 10° to 80°, sorted by position:
| Position (°2θ) | I/Imax |
| --- | --- |
| 21.39 | 20 |
| 21.67 | 21 |
| 27.87 | 27 |
| 29.98 | 88 |
| 33.19 | 100 |
| 37.30 | 34 |
| 42.92 | 41 |
| 54.31 | 15 |
| 55.31 | 48 |
| 70.68 | 16 |



Starting from a structure optimized by DFT (GGA-PBE), the powder X-ray diffraction pattern of Ac2NbTc2N6 was simulated for Cu Kα, 1.54184 Å.
Peak positions follow from Bragg's law for the DFT cell and can differ from measured ones.

```
Ac2NbTc2N6
1.0
3.0317 1.7504 5.4810
-3.0317 1.7504 5.4810
0.0000 -3.5007 5.4810
Ac Nb Tc N
2 1 2 6
Direct
0.2177 0.2177 0.2177
0.7823 0.7823 0.7823
0.0000 0.0000 0.0000
0.4319 0.4319 0.4319
0.5681 0.5681 0.5681
0.2358 0.2358 0.7633
0.2358 0.7633 0.2358
0.2367 0.7642 0.7642
0.7633 0.2358 0.2358
0.7642 0.2367 0.7642
0.7642 0.7642 0.2367
```

Most intense lines, 2θ from 10° to 80°, sorted by position:
| Position (°2θ) | I/Imax |
| --- | --- |
| 27.56 | 27 |
| 29.46 | 100 |
| 32.11 | 53 |
| 33.79 | 13 |
| 40.78 | 16 |
| 44.14 | 21 |
| 52.26 | 21 |
| 53.96 | 26 |
| 59.03 | 26 |
| 61.14 | 17 |



Starting from a structure optimized by DFT (GGA-PBE), the powder X-ray diffraction pattern of Ac4Nd3NpN8 was simulated for Cu Kα, 1.54184 Å.
Peak positions follow from Bragg's law for the DFT cell and can differ from measured ones.

```
Ac4Nd3NpN8
1.0
3.7097 2.1418 6.1773
-3.7097 2.1418 6.1773
0.0000 -4.2836 6.1773
Ac Nd Np N
4 3 1 8
Direct
0.0000 0.0000 0.0000
0.0000 0.5000 0.5000
0.5000 0.0000 0.5000
0.5000 0.5000 0.0000
0.0000 0.0000 0.5000
0.0000 0.5000 0.0000
0.5000 0.0000 0.0000
0.5000 0.5000 0.5000
0.2449 0.2449 0.2449
0.2683 0.7217 0.7217
0.2783 0.2783 0.7317
0.2783 0.7317 0.2783
0.7217 0.2683 0.7217
0.7217 0.7217 0.2683
0.7317 0.2783 0.2783
0.7551 0.7551 0.7551
```

Most intense lines, 2θ from 10° to 80°, sorted by position:
| Position (°2θ) | I/Imax |
| --- | --- |
| 28.91 | 35 |
| 29.43 | 100 |
| 33.96 | 91 |
| 48.45 | 33 |
| 49.12 | 32 |
| 57.40 | 17 |
| 58.00 | 32 |
| 58.30 | 16 |
| 61.05 | 17 |
| 79.63 | 13 |



Please write out number 12 again, unchanged.
Starting from a structure optimized by DFT (GGA-PBE), the powder X-ray diffraction pattern of Ac4Nd3NpN8 was simulated for Cu Kα, 1.54184 Å.
Peak positions follow from Bragg's law for the DFT cell and can differ from measured ones.

```
Ac4Nd3NpN8
1.0
3.7097 2.1418 6.1773
-3.7097 2.1418 6.1773
0.0000 -4.2836 6.1773
Ac Nd Np N
4 3 1 8
Direct
0.0000 0.0000 0.0000
0.0000 0.5000 0.5000
0.5000 0.0000 0.5000
0.5000 0.5000 0.0000
0.0000 0.0000 0.5000
0.0000 0.5000 0.0000
0.5000 0.0000 0.0000
0.5000 0.5000 0.5000
0.2449 0.2449 0.2449
0.2683 0.7217 0.7217
0.2783 0.2783 0.7317
0.2783 0.7317 0.2783
0.7217 0.2683 0.7217
0.7217 0.7217 0.2683
0.7317 0.2783 0.2783
0.7551 0.7551 0.7551
```

Most intense lines, 2θ from 10° to 80°, sorted by position:
| Position (°2θ) | I/Imax |
| --- | --- |
| 28.91 | 35 |
| 29.43 | 100 |
| 33.96 | 91 |
| 48.45 | 33 |
| 49.12 | 32 |
| 57.40 | 17 |
| 58.00 | 32 |
| 58.30 | 16 |
| 61.05 | 17 |
| 79.63 | 13 |